# 1
Zr5Co2: calculated powder diffractogram (Cu Kα), based on a DFT-relaxed cell (GGA-PBE, Alexandria).
No peak broadening, texture or thermal motion is included.

```
Zr5Co2
1.0
7.6105 -2.9255 0.0000
7.6105 2.9255 0.0000
-0.6206 0.0000 6.2563
Zr Co
10 4
direct
0.0728 0.9272 0.7500
0.1428 0.2924 0.3058
0.2924 0.1428 0.8058
0.3007 0.5092 0.0754
0.4908 0.6993 0.4246
0.5092 0.3007 0.5754
0.6993 0.4908 0.9246
0.7076 0.8572 0.1942
0.8572 0.7076 0.6942
0.9272 0.0728 0.2500
0.0848 0.6969 0.4275
0.3031 0.9152 0.0725
0.6969 0.0848 0.9275
0.9152 0.3031 0.5725
```

Most intense lines, 2θ = 10–90°, in order of rising 2θ:
| 2θ (°) | d [Å] | Rel. int. |
| --- | --- | --- |
| 33.3 | 2.690 | 100.0 |
| 33.8 | 2.650 | 60.4 |
| 35.4 | 2.536 | 73.0 |
| 35.7 | 2.515 | 40.4 |
| 36.4 | 2.469 | 53.8 |
| 37.5 | 2.396 | 37.7 |
| 38.5 | 2.337 | 35.0 |
| 39.1 | 2.303 | 38.6 |
| 40.7 | 2.215 | 30.9 |
| 46.0 | 1.972 | 32.0 |

# 2
Cr: calculated powder diffractogram (Cu Kα), based on a DFT-relaxed cell (GGA-PBE, Alexandria).
No peak broadening, texture or thermal motion is included.

```
Cr
1.0
6.9321 0.0000 0.0000
0.0000 6.9321 0.0000
0.0000 0.0000 4.1370
Cr
16
direct
0.0296 0.3180 0.0000
0.1261 0.8011 0.5000
0.1820 0.4704 0.5000
0.1989 0.1261 0.5000
0.3011 0.6261 0.0000
0.3180 0.9704 0.0000
0.3739 0.3011 0.0000
0.4704 0.8180 0.5000
0.5296 0.1820 0.5000
0.6261 0.6989 0.0000
0.6820 0.0296 0.0000
0.6989 0.3739 0.0000
0.8011 0.8739 0.5000
0.8180 0.5296 0.5000
0.8739 0.1989 0.5000
0.9704 0.6820 0.0000
```

Most intense lines, 2θ = 10–90°, in order of rising 2θ:
| 2θ (°) | d [Å] | Rel. int. |
| --- | --- | --- |
| 25.1 | 3.553 | 9.6 |
| 36.7 | 2.451 | 12.1 |
| 43.8 | 2.069 | 38.8 |
| 44.9 | 2.017 | 100.0 |
| 46.9 | 1.937 | 39.7 |
| 47.3 | 1.923 | 12.4 |
| 56.3 | 1.634 | 16.7 |
| 73.9 | 1.282 | 13.5 |
| 77.7 | 1.229 | 8.6 |
| 81.2 | 1.184 | 14.5 |

# 3
Cr: calculated powder diffractogram (Cu Kα), based on a DFT-relaxed cell (GGA-PBE, Alexandria).
No peak broadening, texture or thermal motion is included.

```
Cr
1.0
-1.4254 1.4254 1.4254
1.4254 -1.4254 1.4254
1.4254 1.4254 -1.4254
Cr
1
direct
0.0000 0.0000 0.0000
```

Most intense lines, 2θ = 10–90°, in order of rising 2θ:
| 2θ (°) | d [Å] | Rel. int. |
| --- | --- | --- |
| 45.0 | 2.016 | 100.0 |
| 65.5 | 1.425 | 14.2 |
| 83.0 | 1.164 | 27.4 |

# 4
Cr: calculated powder diffractogram (Cu Kα), based on a DFT-relaxed cell (GGA-PBE, Alexandria).
No peak broadening, texture or thermal motion is included.

```
Cr
1.0
4.5432 0.0000 0.0000
0.0000 4.5432 0.0000
0.0000 0.0000 4.5432
Cr
8
direct
0.0000 0.0000 0.0000
0.0000 0.2500 0.5000
0.0000 0.7500 0.5000
0.2500 0.5000 0.0000
0.5000 0.0000 0.2500
0.5000 0.0000 0.7500
0.5000 0.5000 0.5000
0.7500 0.5000 0.0000
```

Most intense lines, 2θ = 10–90°, in order of rising 2θ:
| 2θ (°) | d [Å] | Rel. int. |
| --- | --- | --- |
| 39.7 | 2.272 | 36.1 |
| 44.6 | 2.032 | 100.0 |
| 49.1 | 1.855 | 73.0 |
| 72.0 | 1.312 | 6.8 |
| 75.4 | 1.260 | 17.5 |
| 78.8 | 1.214 | 30.8 |
| 85.5 | 1.136 | 12.3 |